Record 1
La2Nd7Tm4: simulated XRD peak list (Cu Kα (weighted mean of Kα1 and Kα2)), based on a crystal structure in Alexandria, relaxed with PBE.
Neutral-atom scattering factors, no anomalous dispersion.

Atomic structure:
Cell: 6.2384 6.2384 13.1934 Å, 90.00 90.00 120.00°
Element x y z (fractional)
La 0.3333 0.6667 0.0000
La 0.6667 0.3333 0.0000
Nd 0.0000 0.0000 0.0000
Nd 0.0000 0.3726 0.2274
Nd 0.0000 0.6274 0.7726
Nd 0.3726 0.0000 0.2274
Nd 0.3726 0.3726 0.7726
Nd 0.6274 0.0000 0.7726
Nd 0.6274 0.6274 0.2274
Tm 0.0000 0.0000 0.3932
Tm 0.0000 0.0000 0.6068
Tm 0.3333 0.6667 0.5000
Tm 0.6667 0.3333 0.5000

Main lines, most intense first (2θ from 5° to 70°):
Position (°2θ), I/Imax
31.74, 100
29.42, 36
50.69, 24
35.28, 23
27.03, 19
28.62, 16
50.80, 14
26.13, 12
61.05, 11
58.38, 11

---

Record 2
Ho2Cd3Ni2: simulated XRD peak list (Cu Kα (weighted mean of Kα1 and Kα2)), based on a crystal structure in Alexandria, relaxed with PBE.
Neutral-atom scattering factors, no anomalous dispersion.

Atomic structure:
Cell: 10.3986 10.3986 3.6899 Å, 90.00 90.00 158.50°
Element x y z (fractional)
Ho 0.1732 0.8268 0.0000
Ho 0.8268 0.1732 0.0000
Cd 0.0000 0.0000 0.0000
Cd 0.4218 0.5782 0.5000
Cd 0.5782 0.4218 0.5000
Ni 0.2860 0.7140 0.5000
Ni 0.7140 0.2860 0.5000

Main lines, most intense first (2θ from 5° to 70°):
Position (°2θ), I/Imax
33.81, 100
35.88, 80
38.60, 41
31.81, 36
60.38, 34
46.84, 26
36.09, 24
49.40, 22
40.31, 18
64.39, 17

---

Record 3
CePm2Ag6: simulated XRD peak list (Cu Kα (weighted mean of Kα1 and Kα2)), based on a crystal structure in Alexandria, relaxed with PBE.
Neutral-atom scattering factors, no anomalous dispersion.

Atomic structure:
Cell: 8.7655 8.7655 8.7655 Å, 158.14 122.90 61.89°
Element x y z (fractional)
Ce 0.0000 0.0000 0.0000
Pm 0.3523 0.8523 0.5000
Pm 0.6477 0.1477 0.5000
Ag 0.0026 0.3276 0.6750
Ag 0.3241 0.5000 0.8241
Ag 0.3474 0.6724 0.6750
Ag 0.6526 0.3276 0.3250
Ag 0.6759 0.5000 0.1759
Ag 0.9974 0.6724 0.3250

Main lines, most intense first (2θ from 5° to 70°):
Position (°2θ), I/Imax
36.84, 100
34.97, 65
31.30, 51
37.69, 51
35.83, 49
68.29, 31
55.46, 21
46.11, 16
55.28, 16
67.65, 14

---

Record 4
CsBaSb3: simulated XRD peak list (Cu Kα (weighted mean of Kα1 and Kα2)), based on a crystal structure in Alexandria, relaxed with PBE.
Neutral-atom scattering factors, no anomalous dispersion.

Atomic structure:
Cell: 6.4219 6.4219 6.4219 Å, 90.00 90.00 90.00°
Element x y z (fractional)
Cs 0.0000 0.0000 0.0000
Ba 0.5000 0.5000 0.5000
Sb 0.0000 0.5000 0.5000
Sb 0.5000 0.0000 0.5000
Sb 0.5000 0.5000 0.0000

Main lines, most intense first (2θ from 5° to 70°):
Position (°2θ), I/Imax
27.78, 100
39.70, 76
24.00, 65
64.94, 35
46.92, 31
49.15, 27
19.55, 24
13.79, 20
57.39, 13
63.10, 13

---

Record 5
DyPaHg2O8: simulated XRD peak list (Cu Kα (weighted mean of Kα1 and Kα2)), based on a crystal structure in Alexandria, relaxed with PBE.
Neutral-atom scattering factors, no anomalous dispersion.

Atomic structure:
Cell: 6.2851 6.2851 6.2851 Å, 109.39 109.39 109.63°
Element x y z (fractional)
Dy 0.0000 0.0000 0.0000
Pa 0.2500 0.7500 0.5000
Hg 0.5000 0.5000 0.0000
Hg 0.7500 0.2500 0.5000
O 0.2613 0.0746 0.8133
O 0.2613 0.4481 0.1867
O 0.3323 0.0088 0.3234
O 0.5519 0.7387 0.8133
O 0.6854 0.0088 0.6766
O 0.9254 0.7387 0.1867
O 0.9912 0.3146 0.3234
O 0.9912 0.6677 0.6766

Main lines, most intense first (2θ from 5° to 70°):
Position (°2θ), I/Imax
24.51, 100
30.19, 98
46.83, 75
34.94, 31
59.74, 21
56.81, 20
56.67, 18
50.24, 16
62.78, 12
50.39, 9

---

Record 6
H12Pd5Pt2: simulated XRD peak list (Cu Kα (weighted mean of Kα1 and Kα2)), based on a crystal structure in Alexandria, relaxed with PBE.
Neutral-atom scattering factors, no anomalous dispersion.

Atomic structure:
Cell: 5.0957 5.2904 7.4308 Å, 108.80 99.85 93.11°
Element x y z (fractional)
H 0.1269 0.4624 0.3606
H 0.1373 0.9254 0.3691
H 0.2424 0.8458 0.7317
H 0.3441 0.2870 0.6569
H 0.3554 0.0873 0.0877
H 0.3666 0.4818 0.0835
H 0.6334 0.5182 0.9165
H 0.6446 0.9127 0.9123
H 0.6559 0.7130 0.3431
H 0.7576 0.1542 0.2683
H 0.8627 0.0746 0.6309
H 0.8731 0.5376 0.6394
Pd 0.4278 0.1885 0.8851
Pd 0.4613 0.3845 0.2904
Pd 0.5000 0.0000 0.5000
Pd 0.5387 0.6155 0.7096
Pd 0.5722 0.8115 0.1149
Pt 0.0201 0.2358 0.4639
Pt 0.9799 0.7642 0.5361

Main lines, most intense first (2θ from 5° to 70°):
Position (°2θ), I/Imax
12.84, 100
36.04, 48
37.78, 43
39.37, 36
19.79, 36
36.38, 31
38.81, 30
24.03, 22
34.46, 19
44.04, 18

---

Record 7
Tc2O7F2: simulated XRD peak list (Cu Kα (weighted mean of Kα1 and Kα2)), based on a crystal structure in Alexandria, relaxed with PBE.
Neutral-atom scattering factors, no anomalous dispersion.

Atomic structure:
Cell: 5.0771 15.0609 5.7299 Å, 90.00 115.36 90.00°
Element x y z (fractional)
Tc 0.0627 0.1179 0.3317
Tc 0.0627 0.3821 0.8317
Tc 0.9373 0.6179 0.1683
Tc 0.9373 0.8821 0.6683
O 0.0000 0.0000 0.5000
O 0.0000 0.5000 0.0000
O 0.0600 0.6149 0.9178
O 0.0600 0.8851 0.4178
O 0.2316 0.6453 0.4442
O 0.2316 0.8547 0.9442
O 0.2877 0.2077 0.4145
O 0.2877 0.2923 0.9145
O 0.7123 0.7077 0.0855
O 0.7123 0.7923 0.5855
O 0.7684 0.1453 0.0558
O 0.7684 0.3547 0.5558
O 0.9400 0.1149 0.5822
O 0.9400 0.3851 0.0822
F 0.2782 0.0409 0.2212
F 0.2782 0.4591 0.7212
F 0.7218 0.5409 0.2788
F 0.7218 0.9591 0.7788

Main lines, most intense first (2θ from 5° to 70°):
Position (°2θ), I/Imax
20.82, 100
22.91, 89
19.35, 77
31.64, 45
30.72, 41
23.63, 40
18.12, 32
39.81, 25
46.81, 20
51.20, 18

---

Record 8
LaZn2Ga: simulated XRD peak list (Cu Kα (weighted mean of Kα1 and Kα2)), based on a crystal structure in Alexandria, relaxed with PBE.
Neutral-atom scattering factors, no anomalous dispersion.

Atomic structure:
Cell: 6.6763 5.7977 5.7977 Å, 47.71 90.00 90.00°
Element x y z (fractional)
La 0.0000 0.0000 0.0000
La 0.5000 0.2086 0.2086
Zn 0.0000 0.3048 0.3048
Zn 0.3101 0.4843 0.4843
Zn 0.5000 0.9064 0.9064
Zn 0.6899 0.4843 0.4843
Ga 0.1945 0.7184 0.7184
Ga 0.8055 0.7184 0.7184

Main lines, most intense first (2θ from 5° to 70°):
Position (°2θ), I/Imax
34.03, 100
34.50, 94
38.39, 50
41.91, 38
33.81, 33
44.13, 25
59.90, 20
52.07, 19
66.33, 16
36.46, 15